[1]
Structure and simulated X-ray diffraction stick pattern of Tb6PmDy2Y3 (the PBE geometry in Alexandria; Cu Kα, 1.54184 Å).
No peak broadening, texture or thermal motion is included.

Structural model:
```
Tb6PmDy2Y3
1.0
3.0908 -5.3497 0.0000
3.0908 5.3497 0.0000
-2.0478 0.0000 11.6457
Tb Pm Dy Y
6 1 2 3
direct
0.0823 0.4161 0.2499 Tb
0.2500 0.2500 0.7500 Tb
0.4161 0.0823 0.2499 Tb
0.5839 0.9177 0.7501 Tb
0.7500 0.7500 0.2500 Tb
0.9177 0.5839 0.7501 Tb
0.5000 0.5000 0.5000 Pm
0.1667 0.8333 0.5000 Dy
0.8333 0.1667 0.5000 Dy
0.0000 0.0000 0.0000 Y
0.3332 0.6668 0.0000 Y
0.6668 0.3332 0.0000 Y
```

Main lines, most intense first (10 to 90 degrees two-theta):
2θ = 30.7°, I 100.0; 2θ = 35.6°, I 50.5; 2θ = 51.2°, I 35.8; 2θ = 60.9°, I 35.4; 2θ = 83.5°, I 17.5; 2θ = 63.9°, I 12.2; 2θ = 86.2°, I 10.9; 2θ = 60.9°, I 7.1


[2]
Structure and simulated X-ray diffraction stick pattern of Tb4PmDy2Y2 (the PBE geometry in Alexandria; Cu Kα, 1.54184 Å).
No peak broadening, texture or thermal motion is included.

Structural model:
```
Tb4PmDy2Y2
1.0
9.3482 -1.8003 0.0000
9.3482 1.8003 0.0000
-4.1534 0.0000 8.6254
Tb Pm Dy Y
4 1 2 2
direct
0.0186 0.0186 0.3342 Tb
0.3146 0.3146 0.6654 Tb
0.6854 0.6854 0.3346 Tb
0.9814 0.9814 0.6658 Tb
0.5000 0.5000 0.0000 Pm
0.1676 0.1676 0.0014 Dy
0.8324 0.8324 0.9986 Dy
0.3522 0.3522 0.3332 Y
0.6478 0.6478 0.6668 Y
```

Main lines, most intense first (10 to 90 degrees two-theta):
2θ = 31.9°, I 100.0; 2θ = 33.6°, I 88.4; 2θ = 31.1°, I 49.3; 2θ = 60.7°, I 43.8; 2θ = 28.8°, I 40.8; 2θ = 50.7°, I 37.7; 2θ = 54.7°, I 21.5; 2θ = 58.0°, I 18.6


[3]
Structure and simulated X-ray diffraction stick pattern of Tb2Pm2DyY2 (the PBE geometry in Alexandria; Cu Kα, 1.54184 Å).
No peak broadening, texture or thermal motion is included.

Structural model:
```
Tb2Pm2DyY2
1.0
2.8601 1.6513 8.1541
-2.8601 1.6513 8.1541
0.0000 -3.3025 8.1541
Tb Pm Dy Y
2 2 1 2
direct
0.2174 0.2174 0.2174 Tb
0.7826 0.7826 0.7826 Tb
0.3609 0.3609 0.3609 Pm
0.6391 0.6391 0.6391 Pm
0.5000 0.5000 0.5000 Dy
0.0745 0.0745 0.0745 Y
0.9255 0.9255 0.9255 Y
```

Main lines, most intense first (10 to 90 degrees two-theta):
2θ = 31.3°, I 100.0; 2θ = 55.7°, I 29.1; 2θ = 44.9°, I 18.3; 2θ = 74.2°, I 15.9; 2θ = 55.8°, I 9.1; 2θ = 65.2°, I 6.1; 2θ = 65.4°, I 5.6; 2θ = 82.7°, I 3.1


[4]
Structure and simulated X-ray diffraction stick pattern of Tb2PmDy6Y2 (the PBE geometry in Alexandria; Cu Kα, 1.54184 Å).
No peak broadening, texture or thermal motion is included.

Structural model:
```
Tb2PmDy6Y2
1.0
2.8329 -6.0164 0.0000
2.8329 6.0164 0.0000
-0.0134 0.0000 10.5730
Tb Pm Dy Y
2 1 6 2
direct
0.2035 0.7965 0.0000 Tb
0.7965 0.2035 0.0000 Tb
0.5000 0.5000 0.0000 Pm
0.9998 0.9998 0.2107 Dy
0.0002 0.0002 0.7893 Dy
0.3476 0.6521 0.2936 Dy
0.3479 0.6524 0.7064 Dy
0.6521 0.3476 0.2936 Dy
0.6524 0.3479 0.7064 Dy
0.1359 0.8641 0.5000 Y
0.8641 0.1359 0.5000 Y
```

Main lines, most intense first (10 to 90 degrees two-theta):
2θ = 32.2°, I 100.0; 2θ = 31.6°, I 37.1; 2θ = 30.8°, I 27.0; 2θ = 56.6°, I 21.5; 2θ = 33.9°, I 14.7; 2θ = 30.9°, I 13.2; 2θ = 62.3°, I 12.9; 2θ = 63.0°, I 12.1


[5]
Structure and simulated X-ray diffraction stick pattern of Pm2DyTc9 (the PBE geometry in Alexandria; Cu Kα, 1.54184 Å).
No peak broadening, texture or thermal motion is included.

Structural model:
```
Pm2DyTc9
1.0
4.8085 -2.6436 0.0000
4.8085 2.6436 0.0000
-3.6652 0.0000 8.7106
Pm Dy Tc
2 1 9
direct
0.1421 0.1421 0.4296 Pm
0.8579 0.8579 0.5704 Pm
0.0000 0.0000 0.0000 Dy
0.0735 0.5820 0.2502 Tc
0.3145 0.3145 0.0101 Tc
0.4180 0.9265 0.7498 Tc
0.4225 0.4225 0.7689 Tc
0.5000 0.5000 0.5000 Tc
0.5775 0.5775 0.2311 Tc
0.5820 0.0735 0.2502 Tc
0.6855 0.6855 0.9899 Tc
0.9265 0.4180 0.7498 Tc
```

Main lines, most intense first (10 to 90 degrees two-theta):
2θ = 39.7°, I 100.0; 2θ = 38.0°, I 89.1; 2θ = 39.9°, I 84.6; 2θ = 33.2°, I 59.7; 2θ = 37.8°, I 58.2; 2θ = 32.7°, I 58.2; 2θ = 41.5°, I 49.8; 2θ = 39.0°, I 45.2


[6]
Structure and simulated X-ray diffraction stick pattern of Pm5DyTe4 (the PBE geometry in Alexandria; Cu Kα, 1.54184 Å).
No peak broadening, texture or thermal motion is included.

Structural model:
```
Pm5DyTe4
1.0
8.4018 0.0000 0.0000
0.0000 11.4981 0.0000
0.0000 0.0000 7.3700
Pm Dy Te
10 2 8
direct
0.0019 0.0781 0.2166 Pm
0.0019 0.4219 0.2166 Pm
0.2500 0.7500 0.4153 Pm
0.4981 0.0781 0.2166 Pm
0.4981 0.4219 0.2166 Pm
0.5019 0.5781 0.7834 Pm
0.5019 0.9219 0.7834 Pm
0.7500 0.2500 0.5847 Pm
0.9981 0.5781 0.7834 Pm
0.9981 0.9219 0.7834 Pm
0.2500 0.2500 0.5836 Dy
0.7500 0.7500 0.4164 Dy
0.0051 0.2500 0.8878 Te
0.2500 0.0024 0.5039 Te
0.2500 0.4976 0.5039 Te
0.4949 0.2500 0.8878 Te
0.5051 0.7500 0.1122 Te
0.7500 0.5024 0.4961 Te
0.7500 0.9976 0.4961 Te
0.9949 0.7500 0.1122 Te
```

Main lines, most intense first (10 to 90 degrees two-theta):
2θ = 24.4°, I 100.0; 2θ = 26.2°, I 99.0; 2θ = 32.3°, I 57.3; 2θ = 40.2°, I 44.3; 2θ = 33.9°, I 41.9; 2θ = 39.9°, I 38.3; 2θ = 43.1°, I 31.2; 2θ = 51.1°, I 30.8